Cs3Rb3Co2O5: simulated XRD peak list (Cu Ka), based on a GGA+U-relaxed structure.
Lines closer than 0.1° are merged.

Crystal structure
```
data_Cs3Rb3Co2O5
_cell_length_a 6.998
_cell_length_b 6.998
_cell_length_c 7.081
_cell_angle_alpha 92.45
_cell_angle_beta 92.45
_cell_angle_gamma 116.56
_space_group_name_H-M_alt 'P 1'
_space_group_IT_number 1
_space_group_name_Hall 'P 1'
loop_
_atom_site_label
_atom_site_type_symbol
_atom_site_fract_x
_atom_site_fract_y
_atom_site_fract_z
Cs1 Cs 0.000 0.000 0.000
Cs2 Cs 0.438 0.846 0.796
Cs3 Cs 0.846 0.438 0.796
Rb1 Rb 0.280 0.280 0.611
Rb2 Rb 0.414 0.889 0.292
Rb3 Rb 0.889 0.414 0.292
Co1 Co 0.460 0.460 0.112
Co2 Co 0.864 0.864 0.468
O1 O 0.085 0.813 0.548
O2 O 0.206 0.467 0.025
O3 O 0.467 0.206 0.025
O4 O 0.680 0.680 0.252
O5 O 0.813 0.085 0.548
```

Principal peaks in the range 2θ from 15° to 90°, by angle:
2theta  I (rel.)
25.52  36
28.16  50
28.59  76
29.42  100
30.02  41
36.76  32